1.
This entry pairs a crystal structure of Dy3S3N with its calculated powder XRD pattern. Radiation: Cu Kα X-rays. Structure: DFT lattice parameters and positions (GGA-PBE).

Top 10 peaks for 2θ = 10–90°, by angle:
two_theta  d_spacing  Rel. int.
26.26  3.394  100
27.57  3.235  78
27.69  3.222  62
28.11  3.174  77
32.16  2.783  36
35.36  2.539  61
38.22  2.355  27
39.47  2.283  65
47.55  1.912  32
55.12  1.666  28

```
Dy3S3N
1.0
11.960 0.000 0.000
0.000 3.825 0.000
0.000 0.000 12.941
Dy S N
12 12 4
direct
0.049 0.250 0.142 Dy
0.064 0.250 0.633 Dy
0.210 0.250 0.859 Dy
0.290 0.750 0.359 Dy
0.436 0.750 0.133 Dy
0.451 0.750 0.642 Dy
0.549 0.250 0.358 Dy
0.564 0.250 0.867 Dy
0.710 0.250 0.641 Dy
0.790 0.750 0.141 Dy
0.936 0.750 0.367 Dy
0.951 0.750 0.858 Dy
0.095 0.250 0.402 S
0.133 0.750 0.990 S
0.223 0.750 0.692 S
0.277 0.250 0.192 S
0.367 0.250 0.490 S
0.405 0.750 0.902 S
0.595 0.250 0.098 S
0.633 0.750 0.510 S
0.723 0.750 0.808 S
0.777 0.250 0.308 S
0.867 0.250 0.010 S
0.905 0.750 0.598 S
0.033 0.250 0.799 N
0.467 0.750 0.299 N
0.533 0.250 0.701 N
0.967 0.750 0.201 N
```


2.
This entry pairs a crystal structure of Dy8S6N with its calculated powder XRD pattern. Radiation: Cu Kα X-rays. Structure: DFT lattice parameters and positions (GGA-PBE).

Top 10 peaks for 2θ = 10–90°, by angle:
two_theta  d_spacing  Rel. int.
21.05  4.220  30
28.83  3.097  100
30.75  2.907  47
31.81  2.813  87
35.97  2.497  72
38.46  2.341  20
43.46  2.082  35
45.21  2.006  23
52.48  1.744  40
56.34  1.633  32

```
Dy8S6N
1.0
9.745 0.000 0.000
-4.873 8.440 0.000
0.000 0.000 4.011
Dy S N
8 6 1
direct
0.027 0.304 0.265 Dy
0.278 0.973 0.265 Dy
0.304 0.278 0.735 Dy
0.333 0.667 0.744 Dy
0.667 0.333 0.256 Dy
0.696 0.722 0.265 Dy
0.722 0.027 0.735 Dy
0.973 0.696 0.735 Dy
0.129 0.652 0.243 S
0.348 0.477 0.243 S
0.477 0.129 0.757 S
0.523 0.871 0.243 S
0.652 0.523 0.757 S
0.871 0.348 0.757 S
0.000 0.000 0.500 N
```


3.
This entry pairs a crystal structure of DySc2N3 with its calculated powder XRD pattern. Radiation: Cu Kα X-rays. Structure: DFT lattice parameters and positions (GGA-PBE).

Top 10 peaks for 2θ = 10–90°, by angle:
two_theta  d_spacing  Rel. int.
17.96  4.940  30
20.99  4.232  46
28.63  3.118  23
33.29  2.692  100
38.10  2.362  22
38.44  2.342  32
38.71  2.326  63
50.13  1.820  15
55.70  1.650  40
66.64  1.403  28

```
DySc2N3
1.0
-1.643 2.342 4.940
1.643 -2.342 4.940
1.643 2.342 -4.940
Dy Sc N
1 2 3
direct
0.000 0.000 0.000 Dy
0.332 0.332 0.000 Sc
0.668 0.668 0.000 Sc
0.176 0.676 0.500 N
0.500 0.000 0.500 N
0.824 0.324 0.500 N
```


4.
This entry pairs a crystal structure of Dy2ScTe2N2 with its calculated powder XRD pattern. Radiation: Cu Kα X-rays. Structure: DFT lattice parameters and positions (GGA-PBE).

Top 10 peaks for 2θ = 10–90°, by angle:
two_theta  d_spacing  Rel. int.
20.56  4.320  14
22.07  4.027  13
26.51  3.363  18
30.53  2.928  82
33.78  2.654  100
37.09  2.424  20
42.64  2.121  18
43.72  2.071  36
56.36  1.632  46
72.13  1.310  14

```
Dy2ScTe2N2
1.0
-2.071 2.071 8.641
2.071 -2.071 8.641
2.071 2.071 -8.641
Dy Sc Te N
2 1 2 2
direct
0.090 0.090 0.000 Dy
0.910 0.910 0.000 Dy
0.500 0.500 0.000 Sc
0.326 0.326 0.000 Te
0.674 0.674 0.000 Te
0.000 0.500 0.500 N
0.500 0.000 0.500 N
```


5.
This entry pairs a crystal structure of SmDy2N3 with its calculated powder XRD pattern. Radiation: Cu Kα X-rays. Structure: DFT lattice parameters and positions (GGA-PBE).

Top 8 peaks for 2θ = 10–90°, by angle:
two_theta  d_spacing  Rel. int.
31.18  2.869  100
36.15  2.484  72
52.06  1.757  50
61.94  1.498  45
65.02  1.434  17
76.72  1.242  8
85.11  1.140  19
87.87  1.111  22

```
SmDy2N3
1.0
7.030 0.000 0.000
0.000 4.967 0.000
0.000 0.000 10.541
Sm Dy N
4 8 12
direct
0.127 0.250 0.084 Sm
0.373 0.750 0.584 Sm
0.627 0.250 0.416 Sm
0.873 0.750 0.916 Sm
0.125 0.250 0.417 Dy
0.126 0.250 0.749 Dy
0.374 0.750 0.249 Dy
0.375 0.750 0.917 Dy
0.625 0.250 0.083 Dy
0.626 0.250 0.751 Dy
0.874 0.750 0.251 Dy
0.875 0.750 0.583 Dy
0.122 0.750 0.414 N
0.128 0.750 0.752 N
0.134 0.750 0.085 N
0.366 0.250 0.585 N
0.372 0.250 0.252 N
0.378 0.250 0.914 N
0.622 0.750 0.086 N
0.628 0.750 0.748 N
0.634 0.750 0.415 N
0.866 0.250 0.915 N
0.872 0.250 0.248 N
0.878 0.250 0.586 N
```


6.
This entry pairs a crystal structure of Sm2Dy4N with its calculated powder XRD pattern. Radiation: Cu Kα X-rays. Structure: DFT lattice parameters and positions (GGA-PBE).

Top 10 peaks for 2θ = 10–90°, by angle:
two_theta  d_spacing  Rel. int.
26.29  3.390  17
28.18  3.166  70
30.22  2.958  30
31.36  2.852  26
33.26  2.693  100
37.52  2.397  60
48.91  1.862  31
54.11  1.695  21
62.12  1.494  15
65.02  1.434  29

```
Sm2Dy4N
1.0
-2.397 2.397 8.873
2.397 -2.397 8.873
2.397 2.397 -8.873
Sm Dy N
2 4 1
direct
0.172 0.172 0.000 Sm
0.828 0.828 0.000 Sm
0.000 0.500 0.500 Dy
0.368 0.368 0.000 Dy
0.500 0.000 0.500 Dy
0.632 0.632 0.000 Dy
0.500 0.500 0.000 N
```


7.
This entry pairs a crystal structure of Sm2Dy3UN6 with its calculated powder XRD pattern. Radiation: Cu Kα X-rays. Structure: DFT lattice parameters and positions (GGA-PBE).

Top 10 peaks for 2θ = 10–90°, by angle:
two_theta  d_spacing  Rel. int.
31.32  2.856  100
31.46  2.844  33
36.36  2.471  92
52.27  1.750  32
52.46  1.744  32
62.24  1.492  25
62.30  1.490  20
62.46  1.487  15
65.34  1.428  16
88.63  1.104  15

```
Sm2Dy3UN6
1.0
3.032 -5.249 0.000
3.032 5.249 0.000
-2.024 0.000 5.687
Sm Dy U N
2 3 1 6
direct
0.166 0.834 0.000 Sm
0.834 0.166 0.000 Sm
0.000 0.000 0.500 Dy
0.333 0.667 0.500 Dy
0.667 0.333 0.500 Dy
0.500 0.500 0.000 U
0.110 0.418 0.754 N
0.274 0.274 0.242 N
0.418 0.110 0.754 N
0.582 0.890 0.246 N
0.726 0.726 0.758 N
0.890 0.582 0.246 N
```


8.
This entry pairs a crystal structure of SmDyY2N4 with its calculated powder XRD pattern. Radiation: Cu Kα X-rays. Structure: DFT lattice parameters and positions (GGA-PBE).

Top 10 peaks for 2θ = 10–90°, by angle:
two_theta  d_spacing  Rel. int.
15.48  5.725  11
29.89  2.990  7
31.25  2.862  100
36.24  2.479  79
52.18  1.753  53
62.09  1.495  44
65.18  1.431  18
76.92  1.239  8
85.34  1.137  19
88.12  1.109  23

```
SmDyY2N4
1.0
6.071 0.000 0.000
0.000 3.506 0.000
-2.021 0.000 5.725
Sm Dy Y N
1 1 2 4
direct
0.000 0.000 0.000 Sm
0.000 0.500 0.500 Dy
0.500 0.000 0.500 Y
0.500 0.500 0.000 Y
0.251 0.000 0.747 N
0.254 0.500 0.254 N
0.746 0.500 0.746 N
0.749 0.000 0.253 N
```


What did the third record say?
This entry pairs a crystal structure of DySc2N3 with its calculated powder XRD pattern. Radiation: Cu Kα X-rays. Structure: DFT lattice parameters and positions (GGA-PBE).

Top 10 peaks for 2θ = 10–90°, by angle:
two_theta  d_spacing  Rel. int.
17.96  4.940  30
20.99  4.232  46
28.63  3.118  23
33.29  2.692  100
38.10  2.362  22
38.44  2.342  32
38.71  2.326  63
50.13  1.820  15
55.70  1.650  40
66.64  1.403  28

```
DySc2N3
1.0
-1.643 2.342 4.940
1.643 -2.342 4.940
1.643 2.342 -4.940
Dy Sc N
1 2 3
direct
0.000 0.000 0.000 Dy
0.332 0.332 0.000 Sc
0.668 0.668 0.000 Sc
0.176 0.676 0.500 N
0.500 0.000 0.500 N
0.824 0.324 0.500 N
```